For La10Ga5Br4, a crystal structure in the Materials Project, relaxed with GGA-PBE gives the simulated PXRD pattern in this record (a wavelength of 1.5418 Å).

Atomic structure:
Cell: 8.2077 8.2077 32.5738 Å, 90.00 90.00 90.00°
Space group I4/mcm (No. 140)
Symmetry-distinct sites (fractional):
La: 0.0000 0.0000 0.1538 x8
La: 0.1670 0.3330 0.2037 x16
La: 0.1711 0.3289 0.0732 x16
Ga: 0.0000 0.0000 0.2500 x4
Ga: 0.1223 0.3777 0.3649 x16
Br: 0.0000 0.0000 0.0558 x8
Br: 0.1428 0.3572 0.5000 x8

Most intense lines, 2θ = 10–80°, in order of rising 2θ:
2theta	I_rel	hkl
30.81	14	2 2 0
31.03	100	2 1 7
31.49	13	1 1 10
34.56	49	3 1 0
35.17	17	2 0 10
38.70	10	0 0 14
49.82	15	4 1 7
52.84	10	3 1 14
55.22	8	3 3 10
64.31	11	5 2 7

For La3GaBr3, a crystal structure in the Materials Project, relaxed with GGA-PBE gives the simulated PXRD pattern in this record (a wavelength of 1.5418 Å).

Atomic structure:
Cell: 6.1449 6.1449 6.1449 Å, 90.00 90.00 90.00°
Space group Pm-3m (No. 221)
Symmetry-distinct sites (fractional):
La: 0.0000 0.0000 0.5000 x3
Ga: 0.0000 0.0000 0.0000 x1
Br: 0.0000 0.5000 0.5000 x3

Most intense lines, 2θ = 10–80°, in order of rising 2θ:
2theta	I_rel	hkl
14.41	16	1 0 0
20.44	19	1 1 0
29.06	100	2 0 0
32.58	9	2 1 0
35.79	9	2 1 1
41.57	75	2 2 0
51.52	27	2 2 2
60.24	12	4 0 0
68.26	34	4 2 0
75.85	25	4 2 2

For LiGaBr4, a crystal structure in the Materials Project, relaxed with GGA-PBE gives the simulated PXRD pattern in this record (a wavelength of 1.5418 Å).

Atomic structure:
Cell: 7.5196 7.3636 14.0482 Å, 90.00 92.55 90.00°
Space group P2_1/c (No. 14)
Symmetry-distinct sites (fractional):
Li: 0.1526 0.0113 0.3783 x4
Ga: 0.2947 0.1737 0.6010 x4
Br: 0.0654 0.1922 0.1892 x4
Br: 0.1860 0.6271 0.0696 x4
Br: 0.3076 0.1902 0.9497 x4
Br: 0.4328 0.6784 0.8106 x4

Most intense lines, 2θ = 10–80°, in order of rising 2θ:
2theta	I_rel	hkl
16.87	50	1 1 0
24.17	55	0 2 0
25.08	74	1 1 -3
27.43	84	2 0 2
27.85	84	1 2 1
28.17	100	0 1 4
29.11	90	2 1 -2
43.09	67	1 3 -3
48.35	42	2 1 6
50.13	38	4 1 0

For Li4Ga3Si3BrO12, a crystal structure in the Materials Project, relaxed with GGA-PBE gives the simulated PXRD pattern in this record (a wavelength of 1.5418 Å).

Atomic structure:
Cell: 8.6533 8.6533 8.6533 Å, 90.00 90.00 90.00°
Space group P-43n (No. 218)
Symmetry-distinct sites (fractional):
Li: 0.1792 0.1792 0.1792 x8
Ga: 0.0000 0.2500 0.5000 x6
Si: 0.0000 0.5000 0.2500 x6
Br: 0.0000 0.0000 0.0000 x2
O: 0.0962 0.3718 0.6472 x24

Most intense lines, 2θ = 10–80°, in order of rising 2θ:
2theta	I_rel	hkl
14.48	18	1 1 0
20.53	29	2 0 0
22.98	15	2 1 0
25.21	100	2 1 1
35.95	24	2 2 2
38.94	43	3 2 1
46.96	14	4 2 0
49.40	13	3 3 2
60.53	24	4 4 0
66.62	15	5 3 2

For Na3GaBr6, a crystal structure in the Materials Project, relaxed with GGA-PBE gives the simulated PXRD pattern in this record (a wavelength of 1.5418 Å).

Atomic structure:
Cell: 10.8112 10.8112 10.8112 Å, 90.00 90.00 90.00°
Space group Fm-3m (No. 225)
Symmetry-distinct sites (fractional):
Na: 0.0000 0.0000 0.0000 x4
Na: 0.2500 0.2500 0.2500 x8
Ga: 0.0000 0.0000 0.5000 x4
Br: 0.0000 0.0000 0.2640 x24

Most intense lines, 2θ = 10–80°, in order of rising 2θ:
2theta	I_rel	hkl
14.19	22	1 1 1
16.40	67	2 0 0
28.60	95	2 2 2
33.15	100	4 0 0
37.19	31	4 2 0
47.58	68	4 4 0
50.66	15	6 0 0
56.46	36	6 2 2
59.21	22	4 4 4
79.25	27	8 4 0

For NaGaBr4, a crystal structure in the Materials Project, relaxed with GGA-PBE gives the simulated PXRD pattern in this record (a wavelength of 1.5418 Å).

Atomic structure:
Cell: 14.2389 7.7227 7.7649 Å, 90.00 90.00 90.00°
Space group Pnma (No. 62)
Symmetry-distinct sites (fractional):
Na: 0.1517 0.2500 0.0502 x4
Ga: 0.1013 0.7500 0.7984 x4
Br: 0.0346 0.2500 0.3721 x4
Br: 0.0537 0.7500 0.0903 x4
Br: 0.1983 0.5061 0.7388 x8

Most intense lines, 2θ = 10–80°, in order of rising 2θ:
2theta	I_rel	hkl
16.19	39	0 1 1
16.91	57	2 0 1
24.83	34	3 1 1
26.26	100	2 2 0
26.46	34	1 1 2
27.57	50	4 0 1
31.96	29	3 1 2
36.95	27	2 0 3
46.41	58	6 2 1
49.53	35	4 2 3